No. 1
MgCoH16Cl4O8: theoretical powder XRD pattern (a wavelength of 1.5418 Å), based on DFT lattice parameters and positions (PBE+U).
No peak broadening, texture or thermal motion is included.

Most intense lines, 10 to 90 degrees two-theta, in order of rising 2θ:
hkl	2θ (°)	d (Å)	I (rel.)
0 0 1	10.73	8.246	48.9
0 1 1	16.81	5.275	43.4
1 0 1	18.60	4.770	53.8
1 1 0	19.85	4.472	38.1
1 -1 0	22.20	4.005	100.0
1 2 1	32.07	2.791	38.9
0 0 3	32.58	2.749	40.8
2 1 1	33.54	2.672	72.4
1 0 -3	36.00	2.495	98.4
1 -2 1	37.85	2.377	45.8

Crystal structure
```
data_MgCoH16Cl4O8
_chemical_formula_sum 'Mg1 Co1 H16 Cl4 O8'
_cell_length_a 5.907
_cell_length_b 6.173
_cell_length_c 8.339
_cell_angle_alpha 81.45
_cell_angle_beta 89.38
_cell_angle_gamma 83.66
_symmetry_space_group_name_H-M 'P -1'
_symmetry_Int_Tables_number 2
_symmetry_space_group_name_Hall '-P 1'
loop_
_atom_site_label
_atom_site_fract_x
_atom_site_fract_y
_atom_site_fract_z
Mg1 0.000 0.000 0.000
Co1 0.500 0.500 0.500
H1 0.013 0.405 0.845
H2 0.092 0.729 0.485
H3 0.235 0.049 0.709
H4 0.245 0.645 0.167
H5 0.260 0.795 0.789
H6 0.269 0.174 0.195
H7 0.274 0.898 0.438
H8 0.359 0.219 0.015
Cl1 0.244 0.233 0.445
Cl2 0.375 0.463 0.784
O1 0.106 0.679 0.101
O2 0.183 0.943 0.798
O3 0.246 0.742 0.437
O4 0.282 0.114 0.091
```

No. 2
MgCoH2Cl2O2: theoretical powder XRD pattern (a wavelength of 1.5418 Å), based on DFT lattice parameters and positions (PBE+U).
No peak broadening, texture or thermal motion is included.

Most intense lines, 10 to 90 degrees two-theta, in order of rising 2θ:
hkl	2θ (°)	d (Å)	I (rel.)
0 0 2	17.29	5.129	62.2
1 0 0	30.68	2.914	16.7
0 1 1	31.92	2.803	50.7
0 1 2	35.43	2.534	39.7
0 1 3	40.68	2.218	100.0
1 1 0	54.54	1.683	36.9
1 0 5	54.72	1.678	16.4
1 1 2	57.66	1.599	13.3
1 0 6	63.04	1.475	14.6
2 0 3	70.21	1.340	17.1

Crystal structure
```
data_MgCoH2Cl2O2
_chemical_formula_sum 'Mg1 Co1 H2 Cl2 O2'
_cell_length_a 3.3651
_cell_length_b 3.3651
_cell_length_c 10.2574
_cell_angle_alpha 90.00
_cell_angle_beta 90.00
_cell_angle_gamma 120.00
_symmetry_space_group_name_H-M 'P 3 m 1'
_symmetry_Int_Tables_number 156
_symmetry_space_group_name_Hall 'P 3 -2"'
loop_
_atom_site_label
_atom_site_fract_x
_atom_site_fract_y
_atom_site_fract_z
Mg1 0.0000 0.0000 0.0000
Co1 0.3333 0.6667 0.4983
H1 0.6667 0.3333 0.1703
H2 0.6667 0.3333 0.6699
Cl1 0.0000 0.0000 0.3440
Cl2 0.3333 0.6667 0.8411
O1 0.6667 0.3333 0.0750
O2 0.6667 0.3333 0.5743
```